Structure and theoretical X-ray powder pattern of Li3V3O5F3 (a GGA+U-relaxed structure; CuKα).
Neutral-atom scattering factors, no anomalous dispersion.

Atomic structure:
a b c (Å): 5.973 5.977 6.042
angles (deg): 62.31 60.69 61.88
Space group P1 (No. 1)
One atom of each set of equivalent atoms:
Li 0.000 0.000 0.000 x1
Li 0.252 0.214 0.166 x1
Li 0.629 0.598 0.583 x1
V 0.126 0.603 0.575 x1
V 0.638 0.110 0.574 x1
V 0.652 0.585 0.096 x1
O 0.370 0.358 0.777 x1
O 0.395 0.803 0.301 x1
O 0.842 0.412 0.846 x1
O 0.847 0.358 0.327 x1
O 0.866 0.844 0.388 x1
F 0.395 0.347 0.321 x1
F 0.401 0.853 0.830 x1
F 0.871 0.853 0.841 x1

Top 10 peaks for 10 to 90 degrees two-theta, by angle:
2θ (°)  I (rel.)  index
17.66  24  0 1 0
17.95  15  1 0 0
18.35  100  1 1 1
20.87  13  0 1 1
33.77  15  1 -1 1
34.38  18  1 1 -1
34.71  19  -1 1 1
41.46  28  2 0 2
42.47  54  2 2 0
62.18  14  4 2 2